Calculated X-ray powder pattern of LiCa2As2Pt for λ = 1.5418 Å (Cu Kα), from a cell relaxed with PBE.
Neutral-atom scattering factors, no anomalous dispersion.

Principal peaks in the range 10° ≤ 2θ ≤ 90°, low angle first:
12.4 deg, I = 77; 16.2 deg, I = 100; 24.0 deg, I = 41; 32.8 deg, I = 27; 33.1 deg, I = 37; 34.8 deg, I = 52; 39.2 deg, I = 24; 39.5 deg, I = 51; 39.8 deg, I = 51; 43.6 deg, I = 47; 47.0 deg, I = 20; 77.1 deg, I = 17

Cell and atoms:
Cell lengths 8.273, 8.273, 8.273 Å; angles 138.11, 60.32, 138.65 degrees
Sites, in units of the cell vectors:
1 Li 0.250 0.250 0.000
2 Li 0.750 0.750 0.000
3 Ca 0.164 0.737 0.900
4 Ca 0.336 0.237 0.573
5 Ca 0.664 0.763 0.427
6 Ca 0.836 0.263 0.100
7 As 0.118 0.241 0.359
8 As 0.382 0.741 0.123
9 As 0.618 0.259 0.877
10 As 0.882 0.759 0.641
11 Pt 0.250 0.750 0.500
12 Pt 0.750 0.250 0.500

Calculated X-ray powder pattern of LiCaSiAs2 for λ = 1.5418 Å (Cu Kα), from a cell relaxed with PBE.
Neutral-atom scattering factors, no anomalous dispersion.

Principal peaks in the range 10° ≤ 2θ ≤ 90°, low angle first:
13.5 deg, I = 21; 23.4 deg, I = 73; 30.4 deg, I = 66; 31.8 deg, I = 100; 34.7 deg, I = 34; 41.3 deg, I = 97; 42.4 deg, I = 26; 45.5 deg, I = 32; 47.8 deg, I = 17; 51.8 deg, I = 17; 55.8 deg, I = 22; 63.2 deg, I = 52

Cell and atoms:
Cell lengths 7.116, 7.116, 5.635 Å; angles 90.00, 90.00, 133.41 degrees
Sites, in units of the cell vectors:
1 Li 0.250 0.250 0.000
2 Li 0.750 0.750 0.000
3 Ca 0.250 0.750 0.739
4 Ca 0.750 0.250 0.261
5 Si 0.000 0.000 0.500
6 Si 0.500 0.500 0.500
7 As 0.145 0.855 0.241
8 As 0.355 0.645 0.241
9 As 0.645 0.355 0.759
10 As 0.855 0.145 0.759